No. 1
For PuSbO, a cell relaxed with GGA-PBE gives the simulated X-ray powder pattern in this record (CuKα).

Top 12 peaks for 10° ≤ 2θ ≤ 90°, in order of rising 2θ:
two_theta, I/Imax
26.4, 48
27.8, 17
31.8, 100
35.4, 15
44.7, 12
46.5, 31
52.6, 17
54.3, 16
57.5, 19
59.8, 19
61.3, 9
76.9, 17

Structure:
Cell lengths 3.9041, 3.9041, 10.1369 Å; angles 90.00, 90.00, 120.00 degrees
Element x y z (fractional)
Pu 0.3333 0.6667 0.3574
Pu 0.6667 0.3333 0.6426
Sb 0.3333 0.6667 0.9078
Sb 0.6667 0.3333 0.0922
O 0.3333 0.6667 0.5853
O 0.6667 0.3333 0.4147

---

No. 2
For BaLiPaS4, a cell relaxed with GGA-PBE gives the simulated X-ray powder pattern in this record (CuKα).

Top 12 peaks for 10° ≤ 2θ ≤ 90°, in order of rising 2θ:
two_theta, I/Imax
10.9, 25
20.0, 100
21.8, 16
21.9, 17
25.8, 20
27.6, 28
33.2, 27
33.4, 31
35.5, 44
40.7, 20
46.8, 26
50.9, 16

Structure:
Cell lengths 6.4885, 6.4681, 8.6196 Å; angles 90.00, 109.92, 90.00 degrees
Element x y z (fractional)
Ba 0.2418 0.2500 0.4425
Ba 0.7582 0.7500 0.5575
Li 0.2700 0.7500 0.1774
Li 0.7300 0.2500 0.8226
Pa 0.2727 0.2500 0.9445
Pa 0.7273 0.7500 0.0555
S 0.0256 0.7500 0.9159
S 0.0609 0.7500 0.3473
S 0.4714 0.5107 0.7955
S 0.4714 0.9893 0.7955
S 0.5286 0.0107 0.2045
S 0.5286 0.4893 0.2045
S 0.9391 0.2500 0.6527
S 0.9744 0.2500 0.0841

---

No. 3
For AcSm3, a cell relaxed with GGA-PBE gives the simulated X-ray powder pattern in this record (CuKα).

Top 12 peaks for 10° ≤ 2θ ≤ 90°, in order of rising 2θ:
two_theta, I/Imax
27.4, 23
27.7, 12
29.7, 38
31.3, 100
31.5, 47
40.8, 16
48.8, 19
53.7, 22
53.9, 11
57.7, 12
58.2, 23
58.8, 16

Structure:
Cell lengths 3.7715, 6.0181, 6.4346 Å; angles 90.00, 90.00, 90.00 degrees
Element x y z (fractional)
Ac 0.0000 0.0000 0.0000
Sm 0.0000 0.5000 0.3396
Sm 0.5000 0.0000 0.5007
Sm 0.5000 0.5000 0.8330

---

No. 4
For UGa3Ni12, a cell relaxed with GGA-PBE gives the simulated X-ray powder pattern in this record (CuKα).

Top 12 peaks for 10° ≤ 2θ ≤ 90°, in order of rising 2θ:
two_theta, I/Imax
12.4, 7
24.1, 5
25.0, 8
27.2, 5
30.7, 5
35.0, 7
43.0, 100
49.4, 33
51.4, 15
72.5, 10
74.1, 19
88.2, 24

Structure:
Cell lengths 3.6874, 3.6874, 14.2286 Å; angles 90.00, 90.00, 90.00 degrees
Element x y z (fractional)
U 0.0000 0.0000 0.0000
Ga 0.0000 0.0000 0.2613
Ga 0.0000 0.0000 0.5000
Ga 0.0000 0.0000 0.7387
Ni 0.0000 0.5000 0.1310
Ni 0.0000 0.5000 0.3793
Ni 0.0000 0.5000 0.6207
Ni 0.0000 0.5000 0.8690
Ni 0.5000 0.0000 0.1310
Ni 0.5000 0.0000 0.3793
Ni 0.5000 0.0000 0.6207
Ni 0.5000 0.0000 0.8690
Ni 0.5000 0.5000 0.0000
Ni 0.5000 0.5000 0.2561
Ni 0.5000 0.5000 0.5000
Ni 0.5000 0.5000 0.7439

---

No. 5
For HgPPdF2, a cell relaxed with GGA-PBE gives the simulated X-ray powder pattern in this record (CuKα).

Top 12 peaks for 10° ≤ 2θ ≤ 90°, in order of rising 2θ:
two_theta, I/Imax
28.2, 100
30.5, 48
35.7, 19
36.7, 23
43.7, 28
48.5, 27
52.8, 36
58.4, 24
61.0, 12
75.7, 11
78.1, 14
83.8, 12

Structure:
Cell lengths 4.1419, 4.1419, 4.8951 Å; angles 90.00, 90.00, 90.00 degrees
Element x y z (fractional)
Hg 0.0000 0.0000 0.0000
P 0.5000 0.5000 0.0000
Pd 0.5000 0.5000 0.5000
F 0.0000 0.5000 0.5000
F 0.5000 0.0000 0.5000

---

No. 6
For NpAgGe2, a cell relaxed with GGA-PBE gives the simulated X-ray powder pattern in this record (CuKα).

Top 12 peaks for 10° ≤ 2θ ≤ 90°, in order of rising 2θ:
two_theta, I/Imax
22.5, 19
26.0, 37
37.1, 100
37.3, 99
43.8, 11
45.9, 8
53.6, 34
66.8, 18
66.9, 35
67.3, 17
78.9, 11
79.4, 11

Structure:
Cell lengths 4.8270, 4.8270, 4.8270 Å; angles 60.34, 60.34, 60.34 degrees
Element x y z (fractional)
Np 0.0000 0.0000 0.0000
Ag 0.5000 0.5000 0.5000
Ge 0.2506 0.2506 0.2506
Ge 0.7494 0.7494 0.7494

---

No. 7
For LaTbPt4, a cell relaxed with GGA-PBE gives the simulated X-ray powder pattern in this record (CuKα).

Top 12 peaks for 10° ≤ 2θ ≤ 90°, in order of rising 2θ:
two_theta, I/Imax
19.8, 15
32.5, 19
38.4, 100
40.1, 50
46.7, 9
51.2, 4
58.1, 7
62.0, 33
68.2, 30
77.6, 3
81.0, 12
82.2, 19

Structure:
Cell lengths 5.5027, 5.5027, 5.5027 Å; angles 60.00, 60.00, 60.00 degrees
Element x y z (fractional)
La 0.0000 0.0000 0.0000
Tb 0.7500 0.7500 0.7500
Pt 0.3754 0.3754 0.3754
Pt 0.3754 0.3754 0.8738
Pt 0.3754 0.8738 0.3754
Pt 0.8738 0.3754 0.3754

---

No. 8
For Cd8Pb2Au, a cell relaxed with GGA-PBE gives the simulated X-ray powder pattern in this record (CuKα).

Top 12 peaks for 10° ≤ 2θ ≤ 90°, in order of rising 2θ:
two_theta, I/Imax
15.8, 22
19.3, 43
25.0, 38
30.1, 18
31.4, 40
33.3, 22
35.7, 49
37.0, 100
37.6, 21
39.2, 42
42.2, 32
45.6, 17

Structure:
Cell lengths 7.3772, 7.3772, 6.0267 Å; angles 106.58, 106.58, 77.08 degrees
Element x y z (fractional)
Cd 0.0428 0.0428 0.2906
Cd 0.1004 0.6371 0.9729
Cd 0.2269 0.2269 0.7634
Cd 0.3629 0.8996 0.0271
Cd 0.6371 0.1004 0.9729
Cd 0.7731 0.7731 0.2366
Cd 0.8996 0.3629 0.0271
Cd 0.9572 0.9572 0.7094
Pb 0.3456 0.3456 0.3658
Pb 0.6544 0.6544 0.6342
Au 0.5000 0.5000 0.0000